This entry pairs a crystal structure of GaSb2Ir with its calculated powder X-ray diffraction pattern. Radiation: copper Kα. Structure: a structure optimized by DFT (GGA-PBE).

Peak list (6 most intense, 2θ = 10–80°, in order of rising 2θ)
| 2θ/deg | Rel. int. |
| --- | --- |
| 16.17 | 22 |
| 25.26 | 100 |
| 41.43 | 26 |
| 42.05 | 51 |
| 49.15 | 31 |
| 75.99 | 16 |

Structural model:
```
GaSb2Ir
1.0
6.164 0.000 0.000
0.000 6.164 0.000
0.000 0.000 11.990
Ga Sb Ir
4 8 4
direct
0.000 0.000 0.000
0.000 0.500 0.250
0.500 0.000 0.750
0.500 0.500 0.500
0.224 0.250 0.625
0.250 0.724 0.875
0.250 0.776 0.375
0.276 0.250 0.125
0.724 0.750 0.125
0.750 0.224 0.375
0.750 0.276 0.875
0.776 0.750 0.625
0.000 0.000 0.500
0.000 0.500 0.750
0.500 0.000 0.250
0.500 0.500 0.000
```

This entry pairs a crystal structure of Ce2Er3In3 with its calculated powder X-ray diffraction pattern. Radiation: copper Kα. Structure: a structure optimized by DFT (GGA-PBE).

Peak list (6 most intense, 2θ = 10–80°, in order of rising 2θ)
| 2θ/deg | Rel. int. |
| --- | --- |
| 31.11 | 28 |
| 32.07 | 66 |
| 32.86 | 22 |
| 34.07 | 82 |
| 34.22 | 100 |
| 58.65 | 23 |

Structural model:
```
Ce2Er3In3
1.0
22.937 0.000 0.000
0.000 3.551 0.000
-1.246 0.000 5.308
Ce Er In
4 6 6
direct
0.243 0.000 0.196
0.257 0.500 0.804
0.743 0.500 0.196
0.757 0.000 0.804
0.000 0.000 0.000
0.122 0.000 0.521
0.378 0.500 0.479
0.500 0.500 0.000
0.622 0.500 0.521
0.878 0.000 0.479
0.000 0.500 0.500
0.119 0.500 0.006
0.381 0.000 0.994
0.500 0.000 0.500
0.619 0.000 0.006
0.881 0.500 0.994
```

This entry pairs a crystal structure of Ce3Sb3S with its calculated powder X-ray diffraction pattern. Radiation: copper Kα. Structure: a structure optimized by DFT (GGA-PBE).

Peak list (6 most intense, 2θ = 10–80°, in order of rising 2θ)
| 2θ/deg | Rel. int. |
| --- | --- |
| 25.61 | 100 |
| 32.75 | 60 |
| 33.22 | 61 |
| 33.42 | 31 |
| 37.31 | 37 |
| 40.91 | 39 |

Structural model:
```
Ce3Sb3S
1.0
4.320 -6.620 0.000
4.320 6.620 0.000
-0.348 0.000 7.768
Ce Sb S
6 6 2
direct
0.085 0.085 0.287
0.139 0.479 0.776
0.479 0.139 0.776
0.521 0.861 0.224
0.861 0.521 0.224
0.915 0.915 0.713
0.166 0.834 0.000
0.216 0.784 0.500
0.412 0.412 0.143
0.588 0.588 0.857
0.784 0.216 0.500
0.834 0.166 0.000
0.224 0.224 0.610
0.776 0.776 0.390
```

This entry pairs a crystal structure of K2Rb8Na3 with its calculated powder X-ray diffraction pattern. Radiation: copper Kα. Structure: a structure optimized by DFT (GGA-PBE).

Peak list (6 most intense, 2θ = 10–80°, in order of rising 2θ)
| 2θ/deg | Rel. int. |
| --- | --- |
| 17.98 | 60 |
| 22.86 | 71 |
| 23.24 | 78 |
| 24.95 | 100 |
| 25.61 | 36 |
| 44.79 | 44 |

Structural model:
```
K2Rb8Na3
1.0
9.524 -5.833 0.000
9.524 5.833 0.000
-1.567 0.000 9.225
K Rb Na
2 8 3
direct
0.184 0.184 0.260
0.816 0.816 0.740
0.177 0.177 0.790
0.198 0.580 0.580
0.400 0.400 0.101
0.420 0.802 0.420
0.580 0.198 0.580
0.600 0.600 0.899
0.802 0.420 0.420
0.823 0.823 0.210
0.000 0.000 0.500
0.156 0.844 0.000
0.844 0.156 0.000
```

This entry pairs a crystal structure of ErTm2Pd3 with its calculated powder X-ray diffraction pattern. Radiation: copper Kα. Structure: a structure optimized by DFT (GGA-PBE).

Peak list (6 most intense, 2θ = 10–80°, in order of rising 2θ)
| 2θ/deg | Rel. int. |
| --- | --- |
| 25.69 | 5 |
| 36.65 | 100 |
| 52.77 | 12 |
| 52.87 | 6 |
| 66.00 | 36 |
| 77.93 | 11 |

Structural model:
```
ErTm2Pd3
1.0
3.469 0.000 0.000
0.000 3.469 0.000
0.000 0.000 10.390
Er Tm Pd
1 2 3
direct
0.000 0.000 0.000
0.000 0.000 0.334
0.000 0.000 0.666
0.500 0.500 0.168
0.500 0.500 0.500
0.500 0.500 0.832
```

This entry pairs a crystal structure of NbVGe4 with its calculated powder X-ray diffraction pattern. Radiation: copper Kα. Structure: a structure optimized by DFT (GGA-PBE).

Peak list (6 most intense, 2θ = 10–80°, in order of rising 2θ)
| 2θ/deg | Rel. int. |
| --- | --- |
| 38.02 | 66 |
| 41.94 | 100 |
| 54.86 | 22 |
| 66.45 | 6 |
| 71.37 | 39 |
| 79.20 | 14 |

Structural model:
```
NbVGe4
1.0
9.081 0.000 0.000
0.000 3.349 0.000
-2.464 0.000 6.219
Nb V Ge
2 2 8
direct
0.000 0.000 0.000
0.500 0.500 0.000
0.000 0.000 0.500
0.500 0.500 0.500
0.161 0.500 0.339
0.163 0.500 0.823
0.337 0.000 0.177
0.339 0.000 0.661
0.661 0.000 0.339
0.663 0.000 0.823
0.837 0.500 0.177
0.839 0.500 0.661
```

This entry pairs a crystal structure of AcZnInBi with its calculated powder X-ray diffraction pattern. Radiation: copper Kα. Structure: a structure optimized by DFT (GGA-PBE).

Peak list (6 most intense, 2θ = 10–80°, in order of rising 2θ)
| 2θ/deg | Rel. int. |
| --- | --- |
| 22.79 | 17 |
| 32.45 | 100 |
| 46.55 | 19 |
| 57.89 | 39 |
| 67.95 | 12 |
| 77.33 | 17 |

Structural model:
```
AcZnInBi
1.0
7.804 0.000 0.000
0.000 7.804 0.000
0.000 0.000 7.804
Ac Zn In Bi
4 4 4 4
direct
0.000 0.000 0.000
0.000 0.500 0.500
0.500 0.000 0.500
0.500 0.500 0.000
0.250 0.250 0.750
0.250 0.750 0.250
0.750 0.250 0.250
0.750 0.750 0.750
0.250 0.250 0.250
0.250 0.750 0.750
0.750 0.250 0.750
0.750 0.750 0.250
0.000 0.000 0.500
0.000 0.500 0.000
0.500 0.000 0.000
0.500 0.500 0.500
```

This entry pairs a crystal structure of TaVP with its calculated powder X-ray diffraction pattern. Radiation: copper Kα. Structure: a structure optimized by DFT (GGA-PBE).

Peak list (6 most intense, 2θ = 10–80°, in order of rising 2θ)
| 2θ/deg | Rel. int. |
| --- | --- |
| 18.00 | 29 |
| 27.83 | 27 |
| 28.69 | 44 |
| 37.74 | 59 |
| 37.98 | 100 |
| 40.40 | 77 |

Structural model:
```
TaVP
1.0
6.412 0.000 0.000
0.000 3.401 0.000
0.000 0.000 7.703
Ta V P
4 4 4
direct
0.036 0.250 0.168
0.464 0.750 0.668
0.536 0.250 0.332
0.964 0.750 0.832
0.139 0.250 0.558
0.361 0.750 0.058
0.639 0.250 0.942
0.861 0.750 0.442
0.237 0.750 0.359
0.263 0.250 0.859
0.737 0.750 0.141
0.763 0.250 0.641
```